(1)
Starting from a structure optimized by DFT (GGA-PBE), the XRD peak list of Y3CuGeS7 was calculated for λ = 1.5418 Å (Cu Kα).
Intensities are scaled so that the largest is 100.

Main lines, most intense first (5 to 70 degrees two-theta):
2theta  I/Imax
25.82  100
36.33  86
41.71  49
32.47  46
37.86  41
48.28  33
37.33  31
30.70  31
34.99  27
41.02  25

Cell: 9.8924 9.8924 5.8253 Å, 90.00 90.00 120.00°
Space group P6_3 (No. 173)
Inequivalent atoms, fractional coordinates:
Y 0.1338 0.7763 0.0000 (multiplicity 6)
Cu 0.0000 0.0000 0.4417 (multiplicity 2)
Ge 0.3333 0.6667 0.5812 (multiplicity 2)
S 0.0979 0.5201 0.7426 (multiplicity 6)
S 0.0996 0.8405 0.4640 (multiplicity 6)
S 0.3333 0.6667 0.2023 (multiplicity 2)

***

(2)
Starting from a structure optimized by DFT (GGA-PBE), the XRD peak list of ZnCu2GeS4 was calculated for λ = 1.5418 Å (Cu Kα).
Intensities are scaled so that the largest is 100.

Main lines, most intense first (5 to 70 degrees two-theta):
2theta  I/Imax
28.96  100
48.19  60
57.27  27
57.09  13
33.60  8
33.47  4
60.01  3

Cell: 5.334 5.334 10.708 Å, 90.00 90.00 90.00°
Space group I-42m (No. 121)
Inequivalent atoms, fractional coordinates:
Zn 0.000 0.000 0.000 (multiplicity 2)
Cu 0.000 0.500 0.250 (multiplicity 4)
Ge 0.000 0.000 0.500 (multiplicity 2)
S 0.242 0.242 0.372 (multiplicity 8)

***

(3)
Starting from a structure optimized by DFT (GGA-PBE), the XRD peak list of ZnCu2GeS4 was calculated for λ = 1.5418 Å (Cu Kα).
Intensities are scaled so that the largest is 100.

Main lines, most intense first (5 to 70 degrees two-theta):
2theta  I/Imax
31.11  100
27.50  88
28.76  84
52.45  70
48.35  66
30.91  49
27.28  43
57.23  43
52.32  35
40.21  33

Cell: 7.470 6.538 6.209 Å, 90.00 90.00 90.00°
Space group Pmn2_1 (No. 31)
Inequivalent atoms, fractional coordinates:
Zn 0.000 0.153 0.000 (multiplicity 2)
Cu 0.248 0.328 0.509 (multiplicity 4)
Ge 0.000 0.829 0.501 (multiplicity 2)
S 0.000 0.155 0.380 (multiplicity 2)
S 0.000 0.820 0.866 (multiplicity 2)
S 0.245 0.660 0.378 (multiplicity 4)

***

(4)
Starting from a structure optimized by DFT (GGA-PBE), the XRD peak list of ScCuGe was calculated for λ = 1.5418 Å (Cu Kα).
Intensities are scaled so that the largest is 100.

Main lines, most intense first (5 to 70 degrees two-theta):
2theta  I/Imax
33.69  100
37.01  74
40.05  51
45.71  45
60.25  42
43.09  31
64.61  13
55.63  6
14.87  5
66.63  4

Cell: 6.8786 6.8786 4.1981 Å, 90.00 90.00 120.00°
Space group P-62m (No. 189)
Inequivalent atoms, fractional coordinates:
Sc 0.0000 0.0000 0.0000 (multiplicity 1)
Sc 0.3333 0.6667 0.5000 (multiplicity 2)
Cu 0.0000 0.5928 0.0000 (multiplicity 3)
Ge 0.0000 0.2462 0.5000 (multiplicity 3)

***

(5)
Starting from a structure optimized by DFT (GGA-PBE), the XRD peak list of Sc3Cu4Ge4 was calculated for λ = 1.5418 Å (Cu Kα).
Intensities are scaled so that the largest is 100.

Main lines, most intense first (5 to 70 degrees two-theta):
2theta  I/Imax
35.97  100
49.44  99
37.51  74
44.86  54
40.42  39
46.37  29
22.99  25
40.87  24
36.26  23
13.23  21

Cell: 4.041 6.537 13.388 Å, 90.00 90.00 90.00°
Space group Immm (No. 71)
Inequivalent atoms, fractional coordinates:
Sc 0.000 0.000 0.000 (multiplicity 2)
Sc 0.000 0.500 0.127 (multiplicity 4)
Cu 0.000 0.306 0.328 (multiplicity 8)
Ge 0.000 0.000 0.216 (multiplicity 4)
Ge 0.000 0.193 0.500 (multiplicity 4)

***

(6)
Starting from a structure optimized by DFT (GGA-PBE), the XRD peak list of ScCuGe was calculated for λ = 1.5418 Å (Cu Kα).
Intensities are scaled so that the largest is 100.

Main lines, most intense first (5 to 70 degrees two-theta):
2theta  I/Imax
38.83  100
35.42  100
47.82  51
47.36  47
41.49  41
46.40  37
68.46  29
63.98  22
22.72  20
26.81  15

Cell: 6.6495 6.6495 3.9142 Å, 90.00 90.00 120.00°
Space group P-62m (No. 189)
Inequivalent atoms, fractional coordinates:
Sc 0.0000 0.5915 0.0000 (multiplicity 3)
Cu 0.0000 0.0000 0.0000 (multiplicity 1)
Cu 0.3333 0.6667 0.5000 (multiplicity 2)
Ge 0.0000 0.2648 0.5000 (multiplicity 3)